Structure and simulated XRD peak list of KHoSe4 (a PBE-relaxed structure; Cu Kα (λ = 1.5418 Å)).

The 10 most intense peaks (10 to 90 degrees two-theta), by angle:
10.55 deg, I 100, (0 0 1)
29.35 deg, I 88, (1 1 2)
33.76 deg, I 64, (2 1 1)
35.81 deg, I 31, (2 0 2)
38.08 deg, I 22, (1 1 3)
45.86 deg, I 49, (3 1 0)
47.19 deg, I 14, (3 1 1)
54.72 deg, I 21, (0 0 5)
63.46 deg, I 20, (4 0 2)
64.79 deg, I 14, (3 1 4)

Structural model:
abc: 6.259 6.259 8.385
angles: 90.00 90.00 90.00
Space group P4/nbm (No. 125, origin choice 2)
Asymmetric unit:
K  0.250  0.250  0.000 (multiplicity 2)
Ho  0.250  0.250  0.500 (multiplicity 2)
Se  0.112  0.612  0.295 (multiplicity 8)